Starting from a crystal structure in the Materials Project, relaxed with GGA+U, the X-ray powder pattern of Hg2WO4 was calculated for copper Kα.

Crystal structure
abc: 7.443 7.443 5.068
angles: 104.64 104.64 106.35
Fractional coordinates of all 14 atoms:
Hg1 0.028 0.257 0.476
Hg2 0.257 0.028 0.976
Hg3 0.743 0.972 0.024
Hg4 0.972 0.743 0.524
W1 0.406 0.594 0.250
W2 0.594 0.406 0.750
O1 0.167 0.548 0.297
O2 0.320 0.415 0.847
O3 0.415 0.320 0.347
O4 0.452 0.833 0.203
O5 0.548 0.167 0.797
O6 0.585 0.680 0.653
O7 0.680 0.585 0.153
O8 0.833 0.452 0.703

Top 8 peaks for 10° ≤ 2θ ≤ 90°, in order of rising 2θ:
2θ (°)	I/Imax
24.46	24
26.94	100
27.10	30
30.00	33
34.09	28
34.59	24
51.15	21
51.40	19